(1)
Simulated X-ray diffraction stick pattern
Compound: DyTi2Ga4
Radiation: CuKα
Structure: a cell relaxed with PBE

Largest 10 diffraction maxima, by angle, 2θ from 10° to 80°:
d = 2.721 Å, intensity 31; d = 2.651 Å, intensity 100; d = 2.399 Å, intensity 66; d = 2.367 Å, intensity 53; d = 2.089 Å, intensity 75; d = 1.800 Å, intensity 18; d = 1.557 Å, intensity 20; d = 1.415 Å, intensity 21; d = 1.379 Å, intensity 24; d = 1.228 Å, intensity 24

Structural model:
abc: 5.517 5.517 5.517
angles: 104.08 104.08 120.90
Sites, in units of the cell vectors:
Dy 0.000 0.000 0.000
Ti 0.250 0.750 0.500
Ti 0.750 0.250 0.500
Ga 0.302 0.302 0.605
Ga 0.302 0.698 0.000
Ga 0.698 0.302 0.000
Ga 0.698 0.698 0.395

(2)
Simulated X-ray diffraction stick pattern
Compound: Li3AsO4
Radiation: CuKα
Structure: a cell relaxed with PBE

Largest 10 diffraction maxima, by angle, 2θ from 10° to 80°:
d = 5.470 Å, intensity 26; d = 4.149 Å, intensity 89; d = 3.957 Å, intensity 100; d = 3.711 Å, intensity 62; d = 3.206 Å, intensity 24; d = 3.183 Å, intensity 24; d = 2.751 Å, intensity 35; d = 2.526 Å, intensity 31; d = 2.416 Å, intensity 26; d = 1.582 Å, intensity 21

Structural model:
abc: 6.366 5.470 5.052
angles: 90.00 90.00 90.00
Sites, in units of the cell vectors:
Li 0.000 0.163 0.000
Li 0.248 0.330 0.500
Li 0.252 0.670 0.000
Li 0.500 0.837 0.500
Li 0.748 0.670 0.000
Li 0.752 0.330 0.500
As 0.000 0.829 0.493
As 0.500 0.171 0.993
O 0.000 0.127 0.602
O 0.000 0.824 0.151
O 0.222 0.679 0.605
O 0.278 0.321 0.105
O 0.500 0.176 0.651
O 0.500 0.873 0.102
O 0.722 0.321 0.105
O 0.778 0.679 0.605

(3)
Simulated X-ray diffraction stick pattern
Compound: MgTi2Nb2Pb5O15
Radiation: CuKα
Structure: a cell relaxed with PBE

Largest 10 diffraction maxima, by angle, 2θ from 10° to 80°:
d = 4.233 Å, intensity 18; d = 4.013 Å, intensity 26; d = 2.912 Å, intensity 100; d = 2.838 Å, intensity 46; d = 2.357 Å, intensity 30; d = 2.116 Å, intensity 12; d = 2.007 Å, intensity 27; d = 1.872 Å, intensity 12; d = 1.697 Å, intensity 21; d = 1.652 Å, intensity 38

Structural model:
abc: 5.836 5.836 12.114
angles: 101.74 101.74 58.15
Sites, in units of the cell vectors:
Mg 0.000 0.000 0.000
Ti 0.198 0.198 0.594
Ti 0.796 0.796 0.402
Nb 0.399 0.399 0.198
Nb 0.607 0.607 0.805
Pb 0.078 0.078 0.293
Pb 0.283 0.283 0.884
Pb 0.478 0.478 0.495
Pb 0.680 0.680 0.084
Pb 0.881 0.881 0.696
O 0.030 0.030 0.508
O 0.030 0.530 0.510
O 0.127 0.633 0.316
O 0.223 0.223 0.110
O 0.234 0.723 0.118
O 0.327 0.824 0.908
O 0.423 0.934 0.705
O 0.427 0.427 0.706
O 0.530 0.030 0.510
O 0.629 0.629 0.315
O 0.633 0.127 0.316
O 0.723 0.234 0.118
O 0.809 0.809 0.897
O 0.824 0.327 0.908
O 0.934 0.423 0.705

(4)
Simulated X-ray diffraction stick pattern
Compound: SiO2
Radiation: CuKα
Structure: a cell relaxed with PBE

Largest 10 diffraction maxima, by angle, 2θ from 10° to 80°:
d = 6.036 Å, intensity 6; d = 4.198 Å, intensity 100; d = 3.608 Å, intensity 18; d = 3.446 Å, intensity 6; d = 2.736 Å, intensity 42; d = 2.171 Å, intensity 11; d = 2.099 Å, intensity 10; d = 1.658 Å, intensity 10; d = 1.509 Å, intensity 9; d = 1.225 Å, intensity 7

Structural model:
abc: 6.043 6.043 6.043
angles: 88.01 88.01 88.01
Sites, in units of the cell vectors:
Si 0.004 0.389 0.753
Si 0.247 0.996 0.611
Si 0.389 0.753 0.004
Si 0.611 0.247 0.996
Si 0.753 0.004 0.389
Si 0.996 0.611 0.247
O 0.000 0.000 0.500
O 0.000 0.500 0.000
O 0.000 0.500 0.500
O 0.226 0.227 0.748
O 0.227 0.748 0.226
O 0.252 0.774 0.773
O 0.500 0.000 0.000
O 0.500 0.000 0.500
O 0.500 0.500 0.000
O 0.748 0.226 0.227
O 0.773 0.252 0.774
O 0.774 0.773 0.252